1.
Structure and theoretical PXRD pattern of PWO5 (a crystal structure in the Materials Project, relaxed with PBE+U; Cu Kα).

Principal peaks in the range 2θ = 10–80°, in order of falling intensity:
2theta	I/Imax
21.1	100
15.4	83
20.4	68
22.5	64
26.3	62
32.5	45
48.2	30
35.4	30
50.4	25
53.9	23
33.0	22
60.5	22

Cell and atoms:
```
PWO5
1.0
11.461 0.000 0.000
0.000 5.435 0.000
0.000 0.000 6.664
P W O
4 4 20
Direct
0.156 0.250 0.028
0.344 0.750 0.528
0.656 0.250 0.472
0.844 0.750 0.972
0.062 0.750 0.328
0.438 0.250 0.828
0.562 0.750 0.172
0.938 0.250 0.672
0.000 0.000 0.500
0.000 0.500 0.500
0.089 0.250 0.829
0.127 0.017 0.151
0.127 0.483 0.151
0.212 0.750 0.491
0.288 0.250 0.991
0.373 0.517 0.651
0.373 0.983 0.651
0.411 0.750 0.329
0.500 0.000 0.000
0.500 0.500 0.000
0.589 0.250 0.671
0.627 0.017 0.349
0.627 0.483 0.349
0.712 0.750 0.009
0.788 0.250 0.509
0.873 0.517 0.849
0.873 0.983 0.849
0.911 0.750 0.171
```


2.
Structure and theoretical PXRD pattern of P4WO13 (a crystal structure in the Materials Project, relaxed with PBE+U; Cu Kα).

Principal peaks in the range 2θ = 10–80°, in order of falling intensity:
2theta	I/Imax
13.0	100
11.4	37
21.3	20
24.8	19
18.9	17
27.5	17
26.7	14
28.6	12
17.2	9
22.5	9
21.9	9
31.0	8

Cell and atoms:
```
P4WO13
1.0
5.213 0.000 0.000
1.206 7.902 0.000
0.830 2.692 13.668
P W O
8 2 26
Direct
0.000 0.000 0.000
0.005 0.777 0.299
0.129 0.691 0.776
0.314 0.544 0.451
0.348 0.471 0.964
0.649 0.327 0.326
0.689 0.246 0.851
0.882 0.104 0.511
0.443 0.945 0.402
0.565 0.844 0.889
0.042 0.636 0.403
0.074 0.704 0.212
0.163 0.654 0.678
0.171 0.021 0.491
0.177 0.530 0.866
0.180 0.916 0.318
0.201 0.456 0.056
0.280 0.910 0.978
0.295 0.403 0.534
0.313 0.821 0.799
0.441 0.706 0.466
0.460 0.183 0.340
0.479 0.493 0.357
0.514 0.294 0.945
0.553 0.605 0.947
0.563 0.087 0.832
0.709 0.970 0.487
0.715 0.389 0.771
0.718 0.865 0.313
0.775 0.365 0.230
0.815 0.869 0.980
0.828 0.149 0.607
0.842 0.259 0.417
0.848 0.780 0.802
0.950 0.061 0.092
0.957 0.152 0.902
```